For Tb2PrSm5, DFT lattice parameters and positions (PBE) gives the calculated powder X-ray diffraction pattern in this record (Cu Ka).
Peak positions follow from Bragg's law for the DFT cell and can differ from measured ones.

Cell and atoms:
```
Tb2PrSm5
1.0
7.2041 0.0000 0.0000
0.0000 10.1034 0.0000
-1.8046 0.0000 7.7889
Tb Pr Sm
4 2 10
Cartesian
-0.0146 0.9338 2.8376 Tb
-0.0146 4.1179 2.8376 Tb
5.4141 5.9855 4.9513 Tb
5.4141 9.1696 4.9513 Tb
0.0224 7.5775 2.1724 Pr
5.3771 2.5258 5.6164 Pr
1.8106 0.2888 0.0031 Sm
1.8106 4.7629 0.0031 Sm
1.7851 5.9847 4.9756 Sm
1.7851 9.1704 4.9756 Sm
1.8274 2.5258 5.6390 Sm
3.5722 7.5775 2.1499 Sm
3.6145 0.9330 2.8133 Sm
3.6145 4.1187 2.8133 Sm
3.5889 5.3405 7.7858 Sm
3.5889 9.8146 7.7858 Sm
```

Peak list (10 most intense, 2θ = 5–70°, in order of rising 2θ)
3.089 Å, 28.9 deg, I 710, hkl 0 3 1; 2.960 Å, 30.2 deg, I 1000, hkl 2 0 -2; 2.882 Å, 31.0 deg, I 191, hkl 2 2 0; 2.596 Å, 34.5 deg, I 250, hkl 0 0 3; 2.549 Å, 35.2 deg, I 319, hkl 0 3 2; 2.430 Å, 37.0 deg, I 533, hkl 2 3 -1; 1.931 Å, 47.1 deg, I 167, hkl 2 3 2; 1.723 Å, 53.2 deg, I 144, hkl 2 4 2; 1.556 Å, 59.4 deg, I 161, hkl 4 3 0; 1.542 Å, 60.0 deg, I 143, hkl 0 4 4